No. 1
Diffraction record for CeCoBr. The XRD peak list is computed, not measured: it uses a GGA-PBE-relaxed structure and Cu Kα.
No peak broadening, texture or thermal motion is included.

Crystal structure
a = 6.896 Å, b = 3.982 Å, c = 11.562 Å
α = 90.00°, β = 101.28°, γ = 90.00°
Fractional coordinates of all 12 atoms:
Ce 0.054 0.000 0.165
Ce 0.446 0.500 0.835
Ce 0.554 0.500 0.165
Ce 0.946 0.000 0.835
Co 0.166 0.500 0.997
Co 0.334 0.000 0.003
Co 0.666 0.000 0.997
Co 0.834 0.500 0.003
Br 0.222 0.000 0.658
Br 0.278 0.500 0.342
Br 0.722 0.500 0.658
Br 0.778 0.000 0.342

Principal peaks in the range 10 to 90 degrees two-theta, sorted by position:
| 2theta | I (rel.) |
| --- | --- |
| 25.97 | 47 |
| 31.82 | 100 |
| 33.46 | 44 |
| 37.12 | 26 |
| 39.13 | 51 |
| 45.57 | 62 |
| 48.15 | 17 |
| 56.67 | 13 |
| 68.35 | 12 |
| 68.45 | 11 |


No. 2
Diffraction record for Cs3Ce2Br8. The XRD peak list is computed, not measured: it uses a GGA-PBE-relaxed structure and Cu Kα.
No peak broadening, texture or thermal motion is included.

Crystal structure
a = 9.952 Å, b = 9.952 Å, c = 8.592 Å
α = 105.97°, β = 105.97°, γ = 55.02°
Fractional coordinates of all 13 atoms:
Cs 0.000 0.000 0.000
Cs 0.267 0.733 0.500
Cs 0.733 0.267 0.500
Ce 0.249 0.249 0.520
Ce 0.751 0.751 0.480
Br 0.091 0.608 0.701
Br 0.137 0.137 0.718
Br 0.343 0.343 0.296
Br 0.392 0.909 0.299
Br 0.608 0.091 0.701
Br 0.657 0.657 0.704
Br 0.863 0.863 0.282
Br 0.909 0.392 0.299

Principal peaks in the range 10 to 90 degrees two-theta, sorted by position:
| 2theta | I (rel.) |
| --- | --- |
| 10.83 | 82 |
| 22.05 | 14 |
| 25.28 | 45 |
| 26.06 | 100 |
| 33.48 | 17 |
| 35.10 | 17 |
| 36.26 | 30 |
| 36.98 | 32 |
| 39.20 | 18 |
| 47.21 | 15 |


No. 3
Diffraction record for Cs6CeBr12. The XRD peak list is computed, not measured: it uses a GGA-PBE-relaxed structure and Cu Kα.
No peak broadening, texture or thermal motion is included.

Crystal structure
a = 10.049 Å, b = 10.049 Å, c = 10.049 Å
α = 98.16°, β = 98.16°, γ = 98.16°
Fractional coordinates of all 19 atoms:
Cs 0.162 0.623 0.275
Cs 0.275 0.162 0.623
Cs 0.377 0.725 0.838
Cs 0.623 0.275 0.162
Cs 0.725 0.838 0.377
Cs 0.838 0.377 0.725
Ce 0.000 0.000 0.000
Br 0.018 0.722 0.938
Br 0.062 0.982 0.278
Br 0.143 0.473 0.579
Br 0.278 0.062 0.982
Br 0.421 0.857 0.527
Br 0.473 0.579 0.143
Br 0.527 0.421 0.857
Br 0.579 0.143 0.473
Br 0.722 0.938 0.018
Br 0.857 0.527 0.421
Br 0.938 0.018 0.722
Br 0.982 0.278 0.062

Principal peaks in the range 10 to 90 degrees two-theta, sorted by position:
| 2theta | I (rel.) |
| --- | --- |
| 18.07 | 32 |
| 18.84 | 96 |
| 25.14 | 38 |
| 27.28 | 21 |
| 29.75 | 21 |
| 30.21 | 100 |
| 31.17 | 66 |
| 36.26 | 42 |
| 38.59 | 22 |
| 43.94 | 22 |


No. 4
Diffraction record for Cs3Ce6Br20. The XRD peak list is computed, not measured: it uses a GGA-PBE-relaxed structure and Cu Kα.
No peak broadening, texture or thermal motion is included.

Crystal structure
a = 11.081 Å, b = 11.081 Å, c = 11.081 Å
α = 60.00°, β = 60.00°, γ = 60.00°
Fractional coordinates of all 29 atoms:
Cs 0.000 0.000 0.000
Cs 0.250 0.250 0.250
Cs 0.750 0.750 0.750
Ce 0.266 0.266 0.734
Ce 0.266 0.734 0.266
Ce 0.266 0.734 0.734
Ce 0.734 0.266 0.266
Ce 0.734 0.266 0.734
Ce 0.734 0.734 0.266
Br 0.000 0.000 0.335
Br 0.000 0.000 0.665
Br 0.000 0.335 0.000
Br 0.000 0.335 0.665
Br 0.000 0.665 0.000
Br 0.000 0.665 0.335
Br 0.156 0.615 0.615
Br 0.335 0.000 0.000
Br 0.335 0.000 0.665
Br 0.335 0.665 0.000
Br 0.385 0.385 0.385
Br 0.385 0.385 0.844
Br 0.385 0.844 0.385
Br 0.615 0.156 0.615
Br 0.615 0.615 0.156
Br 0.615 0.615 0.615
Br 0.665 0.000 0.000
Br 0.665 0.000 0.335
Br 0.665 0.335 0.000
Br 0.844 0.385 0.385

Principal peaks in the range 10 to 90 degrees two-theta, sorted by position:
| 2theta | I (rel.) |
| --- | --- |
| 19.62 | 43 |
| 29.62 | 100 |
| 32.32 | 95 |
| 33.84 | 28 |
| 34.33 | 27 |
| 38.09 | 67 |
| 46.35 | 20 |
| 49.34 | 21 |
| 57.63 | 52 |
| 71.19 | 17 |


No. 5
Diffraction record for Cs2Ce2Br7. The XRD peak list is computed, not measured: it uses a GGA-PBE-relaxed structure and Cu Kα.
No peak broadening, texture or thermal motion is included.

Crystal structure
a = 7.463 Å, b = 7.463 Å, c = 8.339 Å
α = 90.00°, β = 90.00°, γ = 98.75°
Fractional coordinates of all 11 atoms:
Cs 0.228 0.228 0.000
Cs 0.772 0.772 0.000
Ce 0.280 0.720 0.500
Ce 0.720 0.280 0.500
Br 0.000 0.000 0.500
Br 0.000 0.500 0.272
Br 0.000 0.500 0.728
Br 0.500 0.000 0.272
Br 0.500 0.000 0.728
Br 0.500 0.500 0.284
Br 0.500 0.500 0.716

Principal peaks in the range 10 to 90 degrees two-theta, sorted by position:
| 2theta | I (rel.) |
| --- | --- |
| 10.61 | 15 |
| 18.94 | 48 |
| 21.16 | 67 |
| 31.59 | 36 |
| 32.41 | 100 |
| 33.31 | 20 |
| 37.00 | 25 |
| 37.27 | 18 |
| 38.34 | 22 |
| 49.44 | 28 |


No. 6
Diffraction record for CsCe2Br2F5. The XRD peak list is computed, not measured: it uses a GGA-PBE-relaxed structure and Cu Kα.
No peak broadening, texture or thermal motion is included.

Crystal structure
a = 10.673 Å, b = 10.673 Å, c = 3.679 Å
α = 90.00°, β = 90.00°, γ = 90.00°
Fractional coordinates of all 20 atoms:
Cs 0.000 0.000 0.000
Cs 0.500 0.500 0.000
Ce 0.126 0.374 0.000
Ce 0.374 0.874 0.000
Ce 0.626 0.126 0.000
Ce 0.874 0.626 0.000
Br 0.169 0.669 0.000
Br 0.331 0.169 0.000
Br 0.669 0.831 0.000
Br 0.831 0.331 0.000
F 0.000 0.500 0.500
F 0.078 0.241 0.500
F 0.241 0.922 0.500
F 0.259 0.422 0.500
F 0.422 0.741 0.500
F 0.500 0.000 0.500
F 0.578 0.259 0.500
F 0.741 0.578 0.500
F 0.759 0.078 0.500
F 0.922 0.759 0.500

Principal peaks in the range 10 to 90 degrees two-theta, sorted by position:
| 2theta | I (rel.) |
| --- | --- |
| 18.59 | 22 |
| 24.19 | 56 |
| 26.41 | 85 |
| 34.03 | 17 |
| 36.12 | 100 |
| 37.69 | 16 |
| 39.06 | 32 |
| 41.82 | 17 |
| 54.67 | 22 |
| 57.02 | 20 |


No. 7
Diffraction record for CsCeGaBr6. The XRD peak list is computed, not measured: it uses a GGA-PBE-relaxed structure and Cu Kα.
No peak broadening, texture or thermal motion is included.

Crystal structure
a = 7.603 Å, b = 7.603 Å, c = 13.854 Å
α = 90.00°, β = 90.00°, γ = 90.00°
Fractional coordinates of all 18 atoms:
Cs 0.000 0.000 0.000
Cs 0.500 0.500 0.500
Ce 0.000 0.000 0.658
Ce 0.500 0.500 0.158
Ga 0.000 0.000 0.337
Ga 0.500 0.500 0.837
Br 0.168 0.168 0.498
Br 0.201 0.201 0.788
Br 0.242 0.242 0.176
Br 0.258 0.742 0.676
Br 0.299 0.701 0.288
Br 0.332 0.668 0.998
Br 0.668 0.332 0.998
Br 0.701 0.299 0.288
Br 0.742 0.258 0.676
Br 0.758 0.758 0.176
Br 0.799 0.799 0.788
Br 0.832 0.832 0.498

Principal peaks in the range 10 to 90 degrees two-theta, sorted by position:
| 2theta | I (rel.) |
| --- | --- |
| 13.28 | 23 |
| 16.49 | 100 |
| 22.53 | 29 |
| 25.43 | 70 |
| 26.21 | 22 |
| 32.71 | 82 |
| 33.33 | 48 |
| 40.61 | 50 |
| 42.61 | 18 |
| 52.23 | 17 |


No. 8
Diffraction record for CsNa2CeBr8. The XRD peak list is computed, not measured: it uses a GGA-PBE-relaxed structure and Cu Kα.
No peak broadening, texture or thermal motion is included.

Crystal structure
a = 6.170 Å, b = 7.282 Å, c = 10.172 Å
α = 90.03°, β = 90.16°, γ = 91.03°
Fractional coordinates of all 12 atoms:
Cs 0.000 0.000 0.000
Na 0.500 0.500 0.272
Na 0.500 0.500 0.728
Ce 0.000 0.000 0.500
Br 0.248 0.845 0.300
Br 0.249 0.326 0.500
Br 0.249 0.846 0.700
Br 0.251 0.489 0.000
Br 0.749 0.511 0.000
Br 0.751 0.154 0.300
Br 0.751 0.674 0.500
Br 0.752 0.155 0.700

Principal peaks in the range 10 to 90 degrees two-theta, sorted by position:
| 2theta | I (rel.) |
| --- | --- |
| 17.44 | 28 |
| 19.02 | 55 |
| 22.66 | 37 |
| 25.66 | 100 |
| 28.70 | 48 |
| 30.19 | 28 |
| 35.29 | 33 |
| 36.04 | 57 |
| 36.41 | 54 |
| 46.00 | 27 |


No. 9
Diffraction record for Cs2CeBr2O2. The XRD peak list is computed, not measured: it uses a GGA-PBE-relaxed structure and Cu Kα.
No peak broadening, texture or thermal motion is included.

Crystal structure
a = 4.628 Å, b = 4.628 Å, c = 18.714 Å
α = 90.00°, β = 90.00°, γ = 90.00°
Fractional coordinates of all 14 atoms:
Cs 0.000 0.000 0.125
Cs 0.000 0.000 0.875
Cs 0.500 0.500 0.375
Cs 0.500 0.500 0.625
Ce 0.000 0.000 0.500
Ce 0.500 0.500 0.000
Br 0.000 0.000 0.336
Br 0.000 0.000 0.664
Br 0.500 0.500 0.164
Br 0.500 0.500 0.836
O 0.000 0.500 0.000
O 0.000 0.500 0.500
O 0.500 0.000 0.000
O 0.500 0.000 0.500

Principal peaks in the range 10 to 90 degrees two-theta, sorted by position:
| 2theta | I (rel.) |
| --- | --- |
| 23.94 | 24 |
| 27.25 | 100 |
| 28.62 | 18 |
| 30.72 | 82 |
| 33.41 | 25 |
| 38.92 | 49 |
| 39.93 | 18 |
| 50.38 | 41 |
| 56.21 | 17 |
| 63.57 | 18 |


No. 10
Diffraction record for Cs2CeTa6Br15O3. The XRD peak list is computed, not measured: it uses a GGA-PBE-relaxed structure and Cu Kα.
No peak broadening, texture or thermal motion is included.

Crystal structure
a = 9.633 Å, b = 9.633 Å, c = 18.840 Å
α = 90.00°, β = 90.00°, γ = 120.00°
Fractional coordinates of all 54 atoms:
Cs 0.333 0.667 0.039
Cs 0.333 0.667 0.461
Cs 0.667 0.333 0.539
Cs 0.667 0.333 0.961
Ce 0.333 0.667 0.750
Ce 0.667 0.333 0.250
Ta 0.017 0.189 0.689
Ta 0.017 0.828 0.811
Ta 0.172 0.189 0.811
Ta 0.172 0.983 0.689
Ta 0.189 0.017 0.189
Ta 0.189 0.172 0.311
Ta 0.811 0.828 0.689
Ta 0.811 0.983 0.811
Ta 0.828 0.017 0.311
Ta 0.828 0.811 0.189
Ta 0.983 0.172 0.189
Ta 0.983 0.811 0.311
Br 0.019 0.221 0.409
Br 0.019 0.797 0.091
Br 0.075 0.471 0.622
Br 0.075 0.604 0.878
Br 0.203 0.221 0.091
Br 0.203 0.981 0.409
Br 0.213 0.426 0.250
Br 0.213 0.787 0.250
Br 0.221 0.019 0.909
Br 0.221 0.203 0.591
Br 0.396 0.471 0.878
Br 0.396 0.925 0.622
Br 0.426 0.213 0.750
Br 0.471 0.075 0.122
Br 0.471 0.396 0.378
Br 0.529 0.604 0.622
Br 0.529 0.925 0.878
Br 0.574 0.787 0.250
Br 0.604 0.075 0.378
Br 0.604 0.529 0.122
Br 0.779 0.797 0.409
Br 0.779 0.981 0.091
Br 0.787 0.213 0.750
Br 0.787 0.574 0.750
Br 0.797 0.019 0.591
Br 0.797 0.779 0.909
Br 0.925 0.396 0.122
Br 0.925 0.529 0.378
Br 0.981 0.203 0.909
Br 0.981 0.779 0.591
O 0.181 0.361 0.750
O 0.181 0.819 0.750
O 0.361 0.181 0.250
O 0.639 0.819 0.750
O 0.819 0.181 0.250
O 0.819 0.639 0.250

Principal peaks in the range 10 to 90 degrees two-theta, sorted by position:
| 2theta | I (rel.) |
| --- | --- |
| 10.60 | 100 |
| 14.18 | 59 |
| 26.47 | 42 |
| 28.30 | 41 |
| 31.76 | 39 |
| 34.22 | 90 |
| 39.80 | 35 |
| 40.55 | 40 |
| 42.14 | 37 |
| 43.59 | 27 |


No. 11
Diffraction record for CsCePmBr6. The XRD peak list is computed, not measured: it uses a GGA-PBE-relaxed structure and Cu Kα.
No peak broadening, texture or thermal motion is included.

Crystal structure
a = 10.465 Å, b = 10.465 Å, c = 10.465 Å
α = 121.55°, β = 118.93°, γ = 89.60°
Fractional coordinates of all 18 atoms:
Cs 0.366 0.116 0.250
Cs 0.634 0.884 0.750
Ce 0.000 0.000 0.500
Ce 0.000 0.500 0.000
Pm 0.000 0.500 0.500
Pm 0.500 0.500 0.000
Br 0.099 0.411 0.258
Br 0.099 0.842 0.688
Br 0.105 0.855 0.250
Br 0.331 0.581 0.750
Br 0.347 0.158 0.758
Br 0.347 0.589 0.188
Br 0.653 0.411 0.812
Br 0.653 0.842 0.242
Br 0.669 0.419 0.250
Br 0.895 0.145 0.750
Br 0.901 0.158 0.312
Br 0.901 0.589 0.742

Principal peaks in the range 10 to 90 degrees two-theta, sorted by position:
| 2theta | I (rel.) |
| --- | --- |
| 10.23 | 19 |
| 10.51 | 19 |
| 19.76 | 66 |
| 19.93 | 19 |
| 20.19 | 33 |
| 21.11 | 29 |
| 31.89 | 19 |
| 33.71 | 28 |
| 34.29 | 100 |
| 35.12 | 23 |


What did the eleventh record say?
Diffraction record for CsCePmBr6. The XRD peak list is computed, not measured: it uses a GGA-PBE-relaxed structure and Cu Kα.
No peak broadening, texture or thermal motion is included.

Crystal structure
a = 10.465 Å, b = 10.465 Å, c = 10.465 Å
α = 121.55°, β = 118.93°, γ = 89.60°
Fractional coordinates of all 18 atoms:
Cs 0.366 0.116 0.250
Cs 0.634 0.884 0.750
Ce 0.000 0.000 0.500
Ce 0.000 0.500 0.000
Pm 0.000 0.500 0.500
Pm 0.500 0.500 0.000
Br 0.099 0.411 0.258
Br 0.099 0.842 0.688
Br 0.105 0.855 0.250
Br 0.331 0.581 0.750
Br 0.347 0.158 0.758
Br 0.347 0.589 0.188
Br 0.653 0.411 0.812
Br 0.653 0.842 0.242
Br 0.669 0.419 0.250
Br 0.895 0.145 0.750
Br 0.901 0.158 0.312
Br 0.901 0.589 0.742

Principal peaks in the range 10 to 90 degrees two-theta, sorted by position:
| 2theta | I (rel.) |
| --- | --- |
| 10.23 | 19 |
| 10.51 | 19 |
| 19.76 | 66 |
| 19.93 | 19 |
| 20.19 | 33 |
| 21.11 | 29 |
| 31.89 | 19 |
| 33.71 | 28 |
| 34.29 | 100 |
| 35.12 | 23 |